Simulated powder XRD pattern of FePO4 for Cu Kα, from a PBE+U-relaxed structure.
Neutral-atom scattering factors, no anomalous dispersion.

The 10 most intense peaks (10 to 80 degrees two-theta), low angle first:
16.5 deg, I = 79.3; 19.0 deg, I = 83.7; 19.9 deg, I = 44.3; 20.7 deg, I = 100.0; 21.1 deg, I = 30.0; 22.8 deg, I = 72.1; 23.9 deg, I = 87.3; 28.7 deg, I = 28.2; 31.8 deg, I = 31.8; 35.6 deg, I = 42.0

Atomic structure:
```
FePO4
1.0
8.921 0.000 0.000
0.000 9.350 0.000
0.000 0.000 9.788
Fe P O
8 8 32
Cartesian
0.572 2.003 1.013
0.572 2.672 5.907
3.888 6.678 1.013
3.888 7.347 5.907
5.033 2.003 3.881
5.033 2.672 8.775
8.349 6.678 3.881
8.349 7.347 8.775
1.068 5.800 6.576
1.068 8.226 1.682
3.392 1.124 6.576
3.392 3.551 1.682
5.529 5.800 8.106
5.529 8.226 3.212
7.853 1.124 8.106
7.853 3.551 3.212
0.091 1.571 9.034
0.091 3.104 4.140
0.905 6.506 7.943
0.905 7.520 3.049
1.015 0.403 1.903
1.015 4.272 6.797
2.034 1.490 5.944
2.034 3.185 1.050
2.426 6.165 5.944
2.426 7.860 1.050
3.445 5.078 1.903
3.445 8.947 6.797
3.555 1.831 7.943
3.555 2.845 3.049
4.370 6.246 9.034
4.370 7.779 4.140
4.551 1.571 5.649
4.551 3.104 0.754
5.366 6.506 6.740
5.366 7.520 1.845
5.476 0.403 2.991
5.476 4.272 7.885
6.495 1.490 8.738
6.495 3.185 3.844
6.887 6.165 8.738
6.887 7.860 3.844
7.906 5.078 2.991
7.906 8.947 7.885
8.015 1.831 6.740
8.015 2.845 1.845
8.830 6.246 5.649
8.830 7.779 0.754
```

---

Simulated powder XRD pattern of FePO4 for Cu Kα, from a PBE+U-relaxed structure.
Neutral-atom scattering factors, no anomalous dispersion.

The 10 most intense peaks (10 to 80 degrees two-theta), low angle first:
17.9 deg, I = 72.1; 20.3 deg, I = 89.0; 23.5 deg, I = 23.7; 25.4 deg, I = 94.4; 29.9 deg, I = 29.0; 30.4 deg, I = 77.3; 36.2 deg, I = 100.0; 36.8 deg, I = 32.3; 52.2 deg, I = 38.2; 57.9 deg, I = 23.7

Atomic structure:
```
FePO4
1.0
9.914 0.000 0.000
0.000 5.886 0.000
0.000 0.000 4.861
Fe P O
4 4 16
Cartesian
2.240 1.471 0.239
2.717 4.414 2.669
7.197 1.471 2.192
7.674 4.414 4.622
0.930 4.414 0.479
4.027 1.471 2.910
5.887 4.414 1.951
8.984 1.471 4.381
0.567 1.471 4.117
1.193 4.414 3.834
1.657 3.215 1.202
1.657 5.614 1.202
3.300 0.272 3.632
3.300 2.671 3.632
3.764 1.471 1.404
4.390 4.414 1.686
5.524 1.471 3.174
6.150 4.414 3.457
6.614 3.215 1.229
6.614 5.614 1.229
8.257 0.272 3.659
8.257 2.671 3.659
8.721 1.471 1.026
9.347 4.414 0.744
```

---

Simulated powder XRD pattern of FeP4O13 for Cu Kα, from a PBE+U-relaxed structure.
Neutral-atom scattering factors, no anomalous dispersion.

The 10 most intense peaks (10 to 80 degrees two-theta), low angle first:
11.1 deg, I = 11.4; 13.0 deg, I = 100.0; 19.0 deg, I = 15.4; 20.5 deg, I = 12.2; 22.5 deg, I = 10.0; 25.2 deg, I = 18.3; 26.2 deg, I = 10.6; 27.2 deg, I = 18.8; 27.4 deg, I = 10.8; 29.3 deg, I = 9.0

Atomic structure:
```
FeP4O13
1.0
5.325 0.000 0.000
1.209 8.043 0.000
1.497 1.826 13.569
Fe P O
2 8 26
Cartesian
1.254 4.028 3.274
6.777 5.840 10.296
2.912 8.640 9.294
2.406 7.013 2.703
4.143 7.281 11.635
4.124 4.401 8.872
3.906 5.467 4.697
3.888 2.588 1.934
5.625 2.856 10.866
5.119 1.229 4.275
1.619 7.874 3.835
0.861 2.300 4.231
1.575 5.792 2.403
3.099 6.166 11.456
2.710 4.920 9.011
3.700 7.954 12.939
2.765 7.955 1.599
3.568 8.913 7.967
2.834 4.381 4.544
2.459 3.091 1.979
4.031 8.338 10.408
3.620 6.180 6.028
3.730 6.563 3.505
4.301 3.305 10.065
4.411 3.689 7.541
4.000 1.530 3.162
5.572 6.778 11.590
5.197 5.488 9.025
4.463 0.956 5.603
5.266 1.913 11.970
4.331 1.914 0.630
5.321 4.948 4.558
4.932 3.703 2.113
6.456 4.077 11.167
7.170 7.569 9.338
6.412 1.995 9.735
```

---

Simulated powder XRD pattern of FeP2O7 for Cu Kα, from a PBE+U-relaxed structure.
Neutral-atom scattering factors, no anomalous dispersion.

The 10 most intense peaks (10 to 80 degrees two-theta), low angle first:
18.2 deg, I = 100.0; 21.1 deg, I = 69.4; 23.3 deg, I = 28.4; 28.3 deg, I = 60.4; 29.1 deg, I = 81.7; 29.9 deg, I = 60.9; 34.4 deg, I = 13.8; 42.9 deg, I = 17.8; 47.7 deg, I = 12.8; 56.5 deg, I = 20.7

Atomic structure:
```
FeP2O7
1.0
3.400 -4.218 0.000
3.400 4.218 0.000
-1.928 0.000 8.964
Fe P O
2 4 14
Cartesian
2.436 2.748 4.482
3.400 -2.748 0.000
1.546 0.139 2.581
0.582 -0.139 7.063
3.604 0.110 6.218
4.568 -0.110 1.737
0.796 0.171 1.253
0.210 1.128 7.847
1.357 1.347 3.506
-0.168 -0.171 5.735
1.174 -1.128 3.365
0.394 -1.347 7.988
3.084 0.186 2.211
3.549 1.344 5.321
2.120 -0.186 6.693
5.062 1.140 0.994
4.513 -1.344 0.839
4.410 0.268 7.512
4.098 -1.140 5.476
5.374 -0.268 3.030
```

---

Simulated powder XRD pattern of FeP2O7 for Cu Kα, from a PBE+U-relaxed structure.
Neutral-atom scattering factors, no anomalous dispersion.

The 10 most intense peaks (10 to 80 degrees two-theta), low angle first:
14.4 deg, I = 22.2; 17.4 deg, I = 100.0; 17.6 deg, I = 33.0; 19.4 deg, I = 19.4; 22.6 deg, I = 24.4; 28.2 deg, I = 32.8; 29.1 deg, I = 68.4; 29.6 deg, I = 42.9; 35.2 deg, I = 23.1; 42.9 deg, I = 21.3

Atomic structure:
```
FeP2O7
1.0
4.894 -4.167 0.000
4.894 4.167 0.000
-4.744 0.000 12.658
Fe P O
4 8 28
Cartesian
-0.562 2.213 10.803
3.234 2.213 8.184
1.810 -2.213 4.474
5.606 -2.213 1.855
-3.169 0.327 11.788
-0.797 -0.327 5.459
0.231 0.690 8.026
2.603 -0.690 1.697
2.441 0.690 10.962
4.813 -0.690 4.633
5.841 0.327 7.199
8.213 -0.327 0.870
0.729 3.799 10.861
1.943 3.799 8.126
-0.410 1.830 8.828
3.962 2.657 0.123
-0.391 0.795 6.545
-1.908 0.755 11.061
2.240 0.689 2.245
3.454 2.657 6.206
1.981 -0.795 0.216
0.464 -0.755 4.731
1.737 0.898 7.886
-0.132 -0.689 8.574
0.935 0.898 11.101
3.082 1.830 10.159
1.962 -1.830 2.499
4.109 -0.898 1.557
5.176 0.689 4.084
3.307 -0.898 4.772
4.580 0.755 7.927
3.063 0.795 12.443
1.590 -2.657 6.452
2.804 -0.689 10.413
6.952 -0.755 1.598
5.435 -0.795 6.114
1.082 -2.657 12.536
5.454 -1.830 3.830
3.101 -3.799 4.532
4.315 -3.799 1.797
```

---

Simulated powder XRD pattern of FeP2O7 for Cu Kα, from a PBE+U-relaxed structure.
Neutral-atom scattering factors, no anomalous dispersion.

The 10 most intense peaks (10 to 80 degrees two-theta), low angle first:
14.5 deg, I = 94.7; 18.3 deg, I = 44.3; 21.1 deg, I = 12.5; 25.7 deg, I = 23.3; 28.0 deg, I = 21.8; 28.6 deg, I = 29.9; 29.3 deg, I = 100.0; 33.9 deg, I = 14.3; 44.5 deg, I = 13.4; 48.8 deg, I = 11.6

Atomic structure:
```
FeP2O7
1.0
5.033 -4.219 0.000
5.033 4.219 0.000
-3.384 0.000 6.109
Fe P O
2 4 14
Cartesian
5.033 2.583 0.000
5.033 -2.583 0.000
0.397 0.000 2.741
-0.456 0.000 5.651
7.137 0.000 0.458
6.285 0.000 3.368
1.588 2.927 4.121
-1.960 0.000 6.050
-0.541 0.000 4.039
3.617 1.267 0.002
5.094 2.927 1.988
1.880 0.000 3.137
3.065 1.267 6.107
3.617 -1.267 0.002
4.802 0.000 2.972
1.588 -2.927 4.121
3.065 -1.267 6.107
7.223 0.000 2.070
8.641 0.000 0.059
5.094 -2.927 1.988
```

---

Simulated powder XRD pattern of Fe3P4O16 for Cu Kα, from a PBE+U-relaxed structure.
Neutral-atom scattering factors, no anomalous dispersion.

The 10 most intense peaks (10 to 80 degrees two-theta), low angle first:
14.5 deg, I = 100.0; 16.5 deg, I = 96.5; 16.7 deg, I = 88.2; 18.1 deg, I = 48.4; 18.8 deg, I = 40.5; 26.6 deg, I = 37.5; 28.2 deg, I = 36.0; 31.1 deg, I = 34.4; 32.3 deg, I = 71.9; 32.4 deg, I = 82.0

Atomic structure:
```
Fe3P4O16
1.0
6.403 0.000 0.000
3.180 9.855 0.000
0.038 0.474 11.025
Fe P O
6 8 32
Cartesian
0.000 0.000 0.000
1.503 1.976 2.727
1.735 2.249 8.236
3.221 0.237 5.512
7.886 8.080 2.789
8.119 8.353 8.298
2.577 6.723 0.099
2.616 3.368 5.378
4.690 9.040 2.813
4.909 9.288 8.323
4.712 1.041 2.702
4.932 1.290 8.212
7.005 6.961 5.646
7.044 3.606 10.926
1.352 3.252 1.238
1.615 3.528 9.734
1.639 3.280 4.192
1.865 3.499 6.714
3.452 8.198 3.071
3.512 7.957 0.094
3.693 8.408 8.095
1.302 0.195 1.587
1.499 0.516 9.472
3.378 5.412 0.264
1.738 0.267 3.963
1.937 0.445 7.100
3.411 4.673 5.143
3.478 1.892 2.442
3.551 2.135 5.405
3.705 2.161 8.436
5.917 8.169 2.589
6.071 8.194 5.620
6.144 8.437 8.583
6.210 5.656 5.882
7.684 9.885 3.925
7.883 10.063 7.061
6.244 4.917 10.761
8.123 9.814 1.553
8.319 10.135 9.438
5.929 1.922 2.930
6.110 2.373 10.931
6.169 2.131 7.954
7.757 6.831 4.311
7.982 7.049 6.833
8.006 6.802 1.290
8.270 7.078 9.787
```

---

Simulated powder XRD pattern of FeP3O11 for Cu Kα, from a PBE+U-relaxed structure.
Neutral-atom scattering factors, no anomalous dispersion.

The 10 most intense peaks (10 to 80 degrees two-theta), low angle first:
13.5 deg, I = 100.0; 15.2 deg, I = 58.7; 18.3 deg, I = 38.2; 20.0 deg, I = 23.5; 20.7 deg, I = 66.5; 21.9 deg, I = 42.7; 30.4 deg, I = 42.5; 30.7 deg, I = 42.1; 30.8 deg, I = 29.2; 48.3 deg, I = 24.7

Atomic structure:
```
FeP3O11
1.0
6.120 -3.984 0.000
6.120 3.984 0.000
-3.168 0.000 8.881
Fe P O
2 6 22
Cartesian
3.060 1.992 0.000
1.476 -1.992 4.440
1.153 0.625 2.526
5.328 2.536 2.220
-0.431 -0.625 6.967
9.504 0.625 1.914
3.744 -2.536 6.661
7.920 -0.625 6.354
-1.242 0.446 6.065
2.050 1.383 1.614
2.979 2.416 5.710
0.342 -0.446 1.624
4.771 1.787 1.046
0.127 0.069 8.181
1.710 -0.069 3.741
4.510 2.416 7.611
3.744 1.588 6.661
5.886 1.787 3.395
0.467 -1.383 6.055
8.606 1.383 2.826
3.187 -1.787 5.486
5.328 -1.588 2.220
4.563 -2.416 1.270
7.362 0.069 5.140
8.946 -0.069 0.700
4.302 -1.787 7.835
8.731 0.446 7.256
6.094 -2.416 3.171
7.022 -1.383 7.266
10.315 -0.446 2.816
```